Entry 1:
Calculated PXRD pattern of LiCrP2O7 for Cu Kα, from a DFT-relaxed cell (GGA+U, the Materials Project).
Kinematic intensities with the Lorentz-polarization factor, no thermal factor.

Main lines, by angle (10 to 90 degrees two-theta):
| (hkl) | 2θ/deg | I_rel |
| --- | --- | --- |
| 1 1 -1 | 18.71 | 62 |
| 0 2 0 | 21.34 | 26 |
| 1 1 1 | 21.77 | 32 |
| 1 1 2 | 29.15 | 69 |
| 0 2 2 | 29.54 | 100 |
| 2 0 -2 | 31.00 | 64 |
| 3 1 -2 | 44.73 | 34 |
| 1 3 4 | 57.75 | 26 |

Crystal structure
```
data_LiCrP2O7
_chemical_formula_sum 'Li4 Cr4 P8 O28'
_symmetry_space_group_name_H-M 'C 1 c 1'
_symmetry_Int_Tables_number 9
_symmetry_space_group_name_Hall 'C -2yc'
_cell_length_a 6.491
_cell_length_b 8.327
_cell_length_c 9.016
_cell_angle_alpha 90.00
_cell_angle_beta 102.53
_cell_angle_gamma 90.00
loop_
_atom_site_label
_atom_site_fract_x
_atom_site_fract_y
_atom_site_fract_z
Li1 0.000 0.197 0.000
Cr1 0.493 0.323 0.002
P1 0.214 0.497 0.706
P2 0.274 0.009 0.800
O1 0.118 0.003 0.645
O2 0.200 0.342 0.613
O3 0.243 0.352 0.113
O4 0.257 0.144 0.393
O5 0.273 0.164 0.891
O6 0.374 0.496 0.859
O7 0.496 0.015 0.754
```

---

Entry 2:
Calculated PXRD pattern of Li4Cr7P6O24 for Cu Kα, from a DFT-relaxed cell (GGA+U, the Materials Project).
Kinematic intensities with the Lorentz-polarization factor, no thermal factor.

Main lines, by angle (10 to 90 degrees two-theta):
| (hkl) | 2θ/deg | I_rel |
| --- | --- | --- |
| 0 2 0 | 12.57 | 57 |
| 0 0 1 | 14.03 | 95 |
| 1 3 -1 | 23.83 | 59 |
| 3 3 0 | 30.94 | 100 |
| 0 2 2 | 31.05 | 18 |
| 1 3 -2 | 33.53 | 65 |
| 0 6 0 | 38.34 | 26 |
| 3 5 0 | 40.37 | 23 |

Crystal structure
```
data_Li4Cr7P6O24
_chemical_formula_sum 'Li8 Cr14 P12 O48'
_symmetry_space_group_name_H-M 'C 1 m 1'
_symmetry_Int_Tables_number 8
_symmetry_space_group_name_Hall 'C -2y'
_cell_length_a 11.342
_cell_length_b 14.088
_cell_length_c 6.507
_cell_angle_alpha 90.00
_cell_angle_beta 104.05
_cell_angle_gamma 90.00
loop_
_atom_site_label
_atom_site_fract_x
_atom_site_fract_y
_atom_site_fract_z
Li1 0.000 0.000 0.000
Li2 0.144 0.500 0.915
Li3 0.446 0.115 0.968
Cr1 0.001 0.343 0.482
Cr2 0.004 0.000 0.493
Cr3 0.177 0.183 0.303
Cr4 0.326 0.321 0.668
P1 0.099 0.197 0.790
P2 0.188 0.500 0.404
P3 0.318 0.000 0.570
P4 0.398 0.311 0.182
O1 0.001 0.116 0.728
O2 0.004 0.114 0.249
O3 0.026 0.292 0.792
O4 0.095 0.500 0.185
O5 0.167 0.413 0.543
O6 0.171 0.215 0.615
O7 0.187 0.169 0.998
O8 0.188 0.000 0.596
O9 0.316 0.345 0.973
O10 0.319 0.500 0.382
O11 0.323 0.294 0.352
O12 0.337 0.090 0.441
O13 0.415 0.000 0.786
O14 0.465 0.214 0.174
```